Starting from the PBE geometry in Alexandria, the X-ray diffraction stick pattern of Ac8SmY4 was calculated for Cu Kα, 1.54184 Å.

Main lines, in order of rising 2θ (10° ≤ 2θ ≤ 90°):
d_spacing  I (rel.)  (hkl)
4.175  34.8  2 0 2
2.952  100.0  2 2 0
2.411  11.3  0 4 2
2.088  18.7  4 0 4
1.867  15.9  4 2 2
1.705  39.5  6 0 0
1.476  12.1  4 4 0
1.392  7.4  2 6 2
1.320  16.5  6 2 4
1.116  14.6  8 2 0

Crystal structure
a b c (Å): 11.8142 11.8142 14.4533
angles (deg): 90.00 90.00 120.00
Space group R-3m (No. 166, hexagonal axes)
Unique sites:
Ac (0.0000, 0.0000, 0.2417) (multiplicity 6)
Ac (0.0109, 0.5054, 0.7471) (multiplicity 18)
Sm (0.0000, 0.0000, 0.5000) (multiplicity 3)
Y (0.0000, 0.0000, 0.0000) (multiplicity 3)
Y (0.0000, 0.5000, 0.0000) (multiplicity 9)